DyMn2PO8: theoretical powder diffraction line list (λ = 1.5418 Å (Cu Kα)), based on the GGA+U geometry in Alexandria.

Crystal structure
Unit cell a=5.692 b=5.692 c=5.662 alpha=90.00 beta=90.00 gamma=120.00
Fractional coordinates of all 12 atoms:
Dy: 0.000 0.000 0.000
Mn: 0.333 0.667 0.587
Mn: 0.667 0.333 0.413
P: 0.000 0.000 0.500
O: 0.142 0.284 0.682
O: 0.142 0.858 0.682
O: 0.284 0.142 0.318
O: 0.333 0.667 0.287
O: 0.667 0.333 0.713
O: 0.716 0.858 0.682
O: 0.858 0.142 0.318
O: 0.858 0.716 0.318

Top 10 peaks for 2θ from 10° to 80°, by intensity:
- (1 0 1), d = 3.718 Å, intensity 100.0
- (1 1 0), d = 2.846 Å, intensity 84.6
- (1 0 0), d = 4.930 Å, intensity 82.5
- (2 0 1), d = 2.260 Å, intensity 38.0
- (0 1 2), d = 2.455 Å, intensity 37.5
- (1 1 2), d = 2.007 Å, intensity 33.4
- (2 1 1), d = 1.770 Å, intensity 33.2
- (2 2 0), d = 1.422 Å, intensity 26.3
- (1 2 2), d = 1.556 Å, intensity 25.2
- (2 0 2), d = 1.859 Å, intensity 21.2